This entry pairs a crystal structure of MgTi3V5O16 with its calculated powder diffraction line list. Radiation: Cu Kα. Structure: DFT lattice parameters and positions (GGA+U).

The 10 most intense peaks (10° ≤ 2θ ≤ 80°), sorted by position:
(hkl)  two_theta  d_spacing  I/Imax
0 0 2  18.83  4.714  100
1 1 1  19.59  4.531  75
0 1 -1  19.75  4.495  65
1 1 -1  19.98  4.445  46
1 1 2  25.49  3.495  33
-1 1 2  35.66  2.518  50
2 0 1  36.21  2.481  56
2 0 -2  40.12  2.247  37
2 2 3  45.38  1.999  40
2 0 -3  45.83  1.980  44

Structural model:
Cell lengths 5.8916, 5.9165, 9.4294 Å; angles 88.92, 89.02, 60.60 degrees
Element x y z (fractional)
Mg 0.0000 0.0000 0.0000
Ti 0.3437 0.3471 0.2174
Ti 0.5286 0.0485 0.7386
Ti 0.9968 0.5005 0.7462
V 0.0728 0.9598 0.7043
V 0.3561 0.8424 0.2558
V 0.5195 0.5259 0.9631
V 0.8418 0.3529 0.2544
V 0.8475 0.8372 0.4612
O 0.9996 0.0046 0.3409
O 0.0025 0.5044 0.3415
O 0.1666 0.1646 0.1341
O 0.1674 0.6902 0.6005
O 0.2033 0.1882 0.6357
O 0.2100 0.6638 0.1099
O 0.3501 0.8586 0.8481
O 0.3640 0.3520 0.8443
O 0.4936 0.4940 0.3419
O 0.5011 0.0045 0.3433
O 0.6494 0.6501 0.1232
O 0.6613 0.2127 0.1092
O 0.7212 0.6948 0.6244
O 0.7275 0.1263 0.6075
O 0.8705 0.3246 0.8563
O 0.8816 0.8456 0.8429